[1]
Tb7Co6Sn23: computed powder X-ray diffraction pattern (λ = 1.5418 Å (Cu Kα)), based on a cell relaxed with PBE.

Cell and atoms:
Cell lengths 9.7063, 9.7063, 9.9406 Å; angles 90.00, 90.00, 120.00 degrees
Space group P-3m1 (No. 164)
Unique sites:
Tb1 0.0000 0.0000 0.0000 (multiplicity 1)
Tb2 0.0420 0.5210 0.3060 (multiplicity 6)
Co1 0.1676 0.3352 0.8020 (multiplicity 6)
Sn1 0.0000 0.0000 0.5000 (multiplicity 1)
Sn2 0.0000 0.3467 0.0000 (multiplicity 6)
Sn3 0.1177 0.2355 0.2757 (multiplicity 6)
Sn4 0.2189 0.4378 0.5462 (multiplicity 6)
Sn5 0.3333 0.6667 0.1156 (multiplicity 2)
Sn6 0.3333 0.6667 0.8188 (multiplicity 2)

Most intense lines, 15 to 90 degrees two-theta, in order of rising 2θ:
2theta, d (Å), I_rel, h k l
32.7, 2.737, 19, 1 1 3
33.2, 2.697, 100, 0 3 1
33.5, 2.677, 65, 1 2 2
34.5, 2.602, 52, 2 0 3
36.8, 2.441, 46, 3 0 2
37.0, 2.427, 28, 2 2 0
37.7, 2.383, 23, 0 1 4
41.4, 2.181, 18, 2 2 2
56.9, 1.618, 23, 3 3 0
60.8, 1.524, 23, 2 3 4


[2]
DyThRe4: computed powder X-ray diffraction pattern (λ = 1.5418 Å (Cu Kα)), based on a cell relaxed with PBE.

Cell and atoms:
Cell lengths 5.4224, 5.4224, 9.1715 Å; angles 90.00, 90.00, 120.00 degrees
Space group P-3m1 (No. 164)
Unique sites:
Dy1 0.3333 0.6667 0.4379 (multiplicity 2)
Th1 0.3333 0.6667 0.0608 (multiplicity 2)
Re1 0.0000 0.0000 0.0000 (multiplicity 1)
Re2 0.0000 0.0000 0.5000 (multiplicity 1)
Re3 0.1701 0.3402 0.7418 (multiplicity 6)

Most intense lines, 15 to 90 degrees two-theta, in order of rising 2θ:
2theta, d (Å), I_rel, h k l
33.0, 2.711, 27, 1 1 0
35.0, 2.562, 70, 1 0 3
38.6, 2.334, 100, 1 1 2
39.3, 2.293, 21, 0 0 4
39.6, 2.275, 82, 0 2 1
43.3, 2.090, 18, 0 2 2
60.3, 1.535, 27, 1 2 3
62.7, 1.481, 25, 3 0 2
64.5, 1.445, 33, 2 0 5
69.3, 1.356, 28, 2 2 0


[3]
Ho5Si10Ir4: computed powder X-ray diffraction pattern (λ = 1.5418 Å (Cu Kα)), based on a cell relaxed with PBE.

Cell and atoms:
Cell lengths 12.6177, 12.6177, 4.2601 Å; angles 90.00, 90.00, 90.00 degrees
Space group P4/mbm (No. 127)
Unique sites:
Ho1 0.0000 0.0000 0.0000 (multiplicity 2)
Ho2 0.1161 0.3839 0.5000 (multiplicity 4)
Ho3 0.1755 0.6755 0.5000 (multiplicity 4)
Si1 0.0035 0.8435 0.5000 (multiplicity 8)
Si2 0.0657 0.5657 0.0000 (multiplicity 4)
Si3 0.1638 0.2007 0.0000 (multiplicity 8)
Ir1 0.0204 0.7543 0.0000 (multiplicity 8)

Most intense lines, 15 to 90 degrees two-theta, in order of rising 2θ:
2theta, d (Å), I_rel, h k l
19.9, 4.461, 24, 2 2 0
22.3, 3.990, 24, 3 1 0
23.1, 3.844, 21, 1 1 1
25.5, 3.500, 17, 3 2 0
29.0, 3.081, 35, 2 2 1
35.4, 2.535, 100, 4 0 1
36.1, 2.485, 35, 4 1 1
36.9, 2.439, 31, 3 3 1
40.4, 2.231, 25, 4 4 0
42.4, 2.130, 33, 0 0 2


[4]
Te2MoWS2: computed powder X-ray diffraction pattern (λ = 1.5418 Å (Cu Kα)), based on a cell relaxed with PBE.

Cell and atoms:
Cell lengths 3.3600, 3.3600, 38.4410 Å; angles 90.00, 90.00, 120.00 degrees
Space group P3m1 (No. 156)
Unique sites:
Te1 0.0000 0.0000 0.0000 (multiplicity 1)
Te2 0.0000 0.0000 0.0980 (multiplicity 1)
Te3 0.3333 0.6667 0.8116 (multiplicity 1)
Te4 0.3333 0.6667 0.9103 (multiplicity 1)
Mo1 0.0000 0.0000 0.4853 (multiplicity 1)
Mo2 0.3333 0.6667 0.0490 (multiplicity 1)
W1 0.0000 0.0000 0.8610 (multiplicity 1)
W2 0.3333 0.6667 0.6732 (multiplicity 1)
S1 0.0000 0.0000 0.6337 (multiplicity 1)
S2 0.0000 0.0000 0.7126 (multiplicity 1)
S3 0.3333 0.6667 0.4459 (multiplicity 1)
S4 0.3333 0.6667 0.5247 (multiplicity 1)

Most intense lines, 15 to 90 degrees two-theta, in order of rising 2θ:
2theta, d (Å), I_rel, h k l
30.8, 2.907, 58, 1 0 0
32.9, 2.721, 14, 1 0 5
34.9, 2.571, 20, 1 0 7
36.1, 2.489, 100, 0 1 8
37.4, 2.404, 32, 0 0 16
43.6, 2.074, 51, 1 0 13
45.4, 1.997, 18, 0 1 14
54.6, 1.680, 39, 1 1 0
67.2, 1.392, 16, 2 0 8
77.0, 1.238, 16, 1 1 21


[5]
DyHo3: computed powder X-ray diffraction pattern (λ = 1.5418 Å (Cu Kα)), based on a cell relaxed with PBE.

Cell and atoms:
Cell lengths 4.9862, 4.9862, 9.9783 Å; angles 90.00, 90.00, 90.00 degrees
Space group I4/mmm (No. 139)
Unique sites:
Dy1 0.0000 0.0000 0.0000 (multiplicity 2)
Ho1 0.0000 0.0000 0.5000 (multiplicity 2)
Ho2 0.0000 0.5000 0.2500 (multiplicity 4)

Most intense lines, 15 to 90 degrees two-theta, in order of rising 2θ:
2theta, d (Å), I_rel, h k l
31.1, 2.879, 100, 1 1 2
36.0, 2.494, 51, 2 0 0
51.9, 1.763, 36, 2 2 0
61.7, 1.504, 43, 3 1 2
64.8, 1.440, 12, 2 2 4
76.4, 1.247, 6, 4 0 0
84.7, 1.144, 18, 3 3 2
87.5, 1.115, 17, 4 2 0